No. 1
Computed powder diffractogram
Compound: Cd3Ir
Radiation: Cu Kα (weighted mean of Kα1 and Kα2)
Structure: DFT lattice parameters and positions (GGA-PBE)

```
data_Cd3Ir
_chemical_formula_sum 'Cd6 Ir2'
_cell_length_a 5.3620
_cell_length_b 5.3620
_cell_length_c 5.3620
_cell_angle_alpha 90.00
_cell_angle_beta 90.00
_cell_angle_gamma 90.00
_symmetry_space_group_name_H-M 'P m -3 n'
_symmetry_Int_Tables_number 223
_symmetry_space_group_name_Hall '-P 4n 2 3'
loop_
_atom_site_label
_atom_site_type_symbol
_atom_site_fract_x
_atom_site_fract_y
_atom_site_fract_z
Cd1 Cd 0.0000 0.2500 0.5000
Ir1 Ir 0.0000 0.0000 0.0000
```

Most intense lines, 2θ from 10° to 90°, low angle first:
hkl, two_theta, d [Å], I (rel.)
2 0 0, 33.42, 2.681, 45
2 1 0, 37.51, 2.398, 74
2 1 1, 41.24, 2.189, 100
3 2 0, 62.45, 1.487, 16
3 2 1, 65.09, 1.433, 51
4 0 0, 70.21, 1.341, 15

No. 2
Computed powder diffractogram
Compound: CdIr5
Radiation: Cu Kα (weighted mean of Kα1 and Kα2)
Structure: DFT lattice parameters and positions (GGA-PBE)

```
data_CdIr5
_chemical_formula_sum 'Cd2 Ir10'
_cell_length_a 10.2503
_cell_length_b 2.7704
_cell_length_c 6.7120
_cell_angle_alpha 90.00
_cell_angle_beta 105.13
_cell_angle_gamma 90.00
_symmetry_space_group_name_H-M 'C 1 m 1'
_symmetry_Int_Tables_number 8
loop_
_symmetry_equiv_pos_as_xyz
'x,y,z'
'x,-y,z'
'x+1/2,y+1/2,z'
'x+1/2,-y+1/2,z'
loop_
_atom_site_label
_atom_site_type_symbol
_atom_site_fract_x
_atom_site_fract_y
_atom_site_fract_z
Cd1 Cd 0.0000 0.0000 0.0000
Ir1 Ir 0.0465 0.0000 0.6043
Ir2 Ir 0.1605 0.5000 0.3434
Ir3 Ir 0.2274 0.5000 0.9480
Ir4 Ir 0.3178 0.0000 0.6591
Ir5 Ir 0.3748 0.0000 0.2870
```

Most intense lines, 2θ from 10° to 90°, low angle first:
hkl, two_theta, d [Å], I (rel.)
1 1 1, 37.34, 2.408, 33
4 0 -2, 39.65, 2.273, 52
0 0 3, 41.83, 2.160, 34
4 0 1, 42.36, 2.134, 100
3 1 0, 42.62, 2.121, 64
3 1 3, 66.80, 1.400, 22

No. 3
Computed powder diffractogram
Compound: K2Cd2Ir
Radiation: Cu Kα (weighted mean of Kα1 and Kα2)
Structure: DFT lattice parameters and positions (GGA-PBE)

```
data_K2Cd2Ir
_chemical_formula_sum 'K4 Cd4 Ir2'
_cell_length_a 7.1694
_cell_length_b 7.1694
_cell_length_c 5.7425
_cell_angle_alpha 90.00
_cell_angle_beta 90.00
_cell_angle_gamma 90.00
_symmetry_space_group_name_H-M 'P 4/m b m'
_symmetry_Int_Tables_number 127
_symmetry_space_group_name_Hall '-P 4 2ab'
loop_
_atom_site_label
_atom_site_type_symbol
_atom_site_fract_x
_atom_site_fract_y
_atom_site_fract_z
K1 K 0.1811 0.3189 0.0000
Cd1 Cd 0.1572 0.6572 0.5000
Ir1 Ir 0.0000 0.0000 0.5000
```

Most intense lines, 2θ from 10° to 90°, low angle first:
hkl, two_theta, d [Å], I (rel.)
0 0 1, 15.43, 5.742, 100
0 0 2, 31.15, 2.871, 42
2 1 1, 31.97, 2.799, 69
3 1 0, 39.76, 2.267, 41
3 1 1, 42.89, 2.109, 44
3 1 2, 51.35, 1.779, 39

No. 4
Computed powder diffractogram
Compound: La3Cd3Ir
Radiation: Cu Kα (weighted mean of Kα1 and Kα2)
Structure: DFT lattice parameters and positions (GGA-PBE)

abc: 14.7650 14.7650 14.7650
angles: 90.00 90.00 90.00
Space group Fd-3m (No. 227, origin choice 2)
Asymmetric unit:
La: 0.0796 0.3750 0.3750 (multiplicity 48)
Cd: 0.0000 0.0000 0.5000 (multiplicity 16)
Cd: 0.0458 0.0458 0.7042 (multiplicity 32)
Ir: 0.0000 0.0000 0.0000 (multiplicity 16)

Most intense lines, 2θ from 10° to 90°, low angle first:
hkl, two_theta, d [Å], I (rel.)
3 1 1, 19.94, 4.452, 23
4 2 2, 29.64, 3.014, 34
3 3 3, 31.48, 2.842, 82
4 4 0, 34.36, 2.610, 100
6 2 2, 40.53, 2.226, 39
6 6 0, 52.60, 1.740, 35